Record 1
For Mg4In8Ni3, a GGA-PBE-relaxed structure gives the calculated XRD peak list in this record (λ = 1.5418 Å (Cu Kα)).
Neutral-atom scattering factors, no anomalous dispersion.

Cell and atoms:
Unit cell a=4.415 b=4.415 c=16.412 alpha=90.00 beta=90.00 gamma=90.00
Space group P-4m2 (No. 115)
Unique sites:
Mg: 0.000 0.500 0.099 x2
Mg: 0.000 0.500 0.599 x2
In: 0.000 0.000 0.250 x2
In: 0.000 0.500 0.410 x2
In: 0.000 0.500 0.916 x2
In: 0.500 0.500 0.245 x2
Ni: 0.000 0.000 0.000 x1
Ni: 0.000 0.000 0.500 x1
Ni: 0.500 0.500 0.500 x1

Top 10 peaks for 2θ from 10° to 90°, by angle:
hkl 1 0 2, 22.9 deg, I = 33
hkl 1 0 4, 29.7 deg, I = 17
hkl 1 1 2, 30.6 deg, I = 40
hkl 0 0 6, 32.7 deg, I = 21
hkl 1 1 4, 36.2 deg, I = 100
hkl 2 0 0, 40.9 deg, I = 52
hkl 2 0 6, 53.3 deg, I = 20
hkl 1 1 8, 53.4 deg, I = 18
hkl 2 2 0, 59.2 deg, I = 17
hkl 3 1 4, 71.4 deg, I = 25



Record 2
For Li4PrZn, a GGA-PBE-relaxed structure gives the calculated XRD peak list in this record (λ = 1.5418 Å (Cu Kα)).
Neutral-atom scattering factors, no anomalous dispersion.

Cell and atoms:
Unit cell a=7.792 b=7.792 c=7.792 alpha=90.00 beta=90.00 gamma=90.00
Space group F-43m (No. 216)
Unique sites:
Li: 0.123 0.123 0.377 x16
Pr: 0.000 0.000 0.000 x4
Zn: 0.250 0.250 0.750 x4

Top 10 peaks for 2θ from 10° to 90°, by angle:
hkl 1 1 1, 19.7 deg, I = 100
hkl 2 2 0, 32.5 deg, I = 90
hkl 3 1 1, 38.3 deg, I = 71
hkl 4 0 0, 46.6 deg, I = 13
hkl 3 3 1, 51.1 deg, I = 24
hkl 4 2 2, 58.0 deg, I = 33
hkl 5 1 1, 61.9 deg, I = 23
hkl 4 4 0, 68.1 deg, I = 12
hkl 5 3 1, 71.7 deg, I = 17
hkl 6 2 0, 77.5 deg, I = 14



Record 3
For Er5Cd2Hg2, a GGA-PBE-relaxed structure gives the calculated XRD peak list in this record (λ = 1.5418 Å (Cu Kα)).
Neutral-atom scattering factors, no anomalous dispersion.

Cell and atoms:
Unit cell a=16.598 b=7.210 c=8.170 alpha=90.00 beta=90.00 gamma=90.00
Space group Cmce (No. 64)
Unique sites:
Er: 0.000 0.000 0.000 x4
Er: 0.138 0.176 0.318 x16
Cd: 0.216 0.000 0.000 x8
Hg: 0.000 0.115 0.645 x8

Top 10 peaks for 2θ from 10° to 90°, by angle:
hkl 2 0 0, 10.7 deg, I = 37
hkl 2 2 1, 29.1 deg, I = 40
hkl 3 1 2, 29.9 deg, I = 100
hkl 4 0 2, 30.7 deg, I = 45
hkl 6 0 0, 32.4 deg, I = 32
hkl 4 2 0, 32.9 deg, I = 52
hkl 0 2 2, 33.1 deg, I = 39
hkl 4 2 1, 34.7 deg, I = 98
hkl 1 1 3, 35.7 deg, I = 70
hkl 1 3 1, 39.5 deg, I = 33



Record 4
For Nd2MgRu2, a GGA-PBE-relaxed structure gives the calculated XRD peak list in this record (λ = 1.5418 Å (Cu Kα)).
Neutral-atom scattering factors, no anomalous dispersion.

Cell and atoms:
Unit cell a=10.226 b=5.601 c=8.319 alpha=90.00 beta=106.74 gamma=90.00
Space group C2/c (No. 15)
Unique sites:
Nd: 0.146 0.157 0.145 x8
Mg: 0.000 0.370 0.750 x4
Ru: 0.141 0.338 0.513 x8

Top 10 peaks for 2θ from 10° to 90°, by angle:
hkl 1 1 -1, 20.0 deg, I = 31
hkl 2 0 -2, 24.4 deg, I = 53
hkl 1 1 2, 31.0 deg, I = 30
hkl 2 0 2, 32.8 deg, I = 48
hkl 0 2 1, 33.9 deg, I = 44
hkl 1 1 -3, 36.2 deg, I = 75
hkl 4 0 0, 36.7 deg, I = 49
hkl 2 2 -1, 37.1 deg, I = 100
hkl 2 2 1, 40.3 deg, I = 41
hkl 6 2 -1, 64.1 deg, I = 36